Calculated X-ray powder pattern of ScCoO3 for Cu Ka, from a crystal structure in the Materials Project, relaxed with PBE+U.
Neutral-atom scattering factors, no anomalous dispersion.

Peak list (10 most intense, 2θ from 10° to 90°, sorted by position)
2theta  d [Å]  intensity
24.14  3.687  26
32.89  2.723  40
34.05  2.633  100
34.54  2.597  90
35.84  2.505  31
49.13  1.855  28
49.43  1.844  37
60.39  1.533  21
62.94  1.477  35
63.88  1.457  23

Atomic structure:
```
ScCoO3
1.0
5.011 0.000 0.000
0.000 5.446 0.000
-4.872 0.000 7.418
Sc Co O
4 4 12
direct
0.219 0.084 0.248 Sc
0.219 0.416 0.748 Sc
0.781 0.584 0.252 Sc
0.781 0.916 0.752 Sc
0.000 0.000 0.500 Co
0.000 0.500 0.000 Co
0.500 0.000 0.000 Co
0.500 0.500 0.500 Co
0.123 0.181 0.930 O
0.123 0.319 0.430 O
0.235 0.679 0.929 O
0.235 0.821 0.429 O
0.402 0.056 0.759 O
0.402 0.444 0.259 O
0.598 0.556 0.741 O
0.598 0.944 0.241 O
0.765 0.179 0.571 O
0.765 0.321 0.071 O
0.877 0.681 0.570 O
0.877 0.819 0.070 O
```

***

Calculated X-ray powder pattern of ScCoO3 for Cu Ka, from a crystal structure in the Materials Project, relaxed with PBE+U.
Neutral-atom scattering factors, no anomalous dispersion.

Peak list (10 most intense, 2θ from 10° to 90°, sorted by position)
2theta  d [Å]  intensity
24.21  3.676  23
33.12  2.705  40
33.75  2.656  100
33.87  2.647  99
35.84  2.506  30
47.51  1.914  30
49.59  1.838  39
59.13  1.562  24
63.00  1.476  24
63.22  1.471  24

Atomic structure:
```
ScCoO3
1.0
5.012 0.000 0.000
0.000 5.410 0.000
-4.976 0.000 7.655
Sc Co O
4 4 12
direct
0.225 0.076 0.248 Sc
0.225 0.424 0.748 Sc
0.775 0.576 0.252 Sc
0.775 0.924 0.752 Sc
0.000 0.000 0.500 Co
0.000 0.500 0.000 Co
0.500 0.000 0.000 Co
0.500 0.500 0.500 Co
0.124 0.182 0.930 O
0.124 0.318 0.430 O
0.231 0.683 0.926 O
0.231 0.817 0.426 O
0.396 0.064 0.750 O
0.396 0.436 0.250 O
0.604 0.564 0.750 O
0.604 0.936 0.250 O
0.769 0.183 0.574 O
0.769 0.317 0.074 O
0.876 0.682 0.570 O
0.876 0.818 0.070 O
```

***

Calculated X-ray powder pattern of ScCoO3 for Cu Ka, from a crystal structure in the Materials Project, relaxed with PBE+U.
Neutral-atom scattering factors, no anomalous dispersion.

Peak list (9 most intense, 2θ from 10° to 90°, sorted by position)
2theta  d [Å]  intensity
24.31  3.662  19
34.64  2.589  100
42.77  2.114  4
49.80  1.831  47
56.17  1.638  6
62.09  1.495  34
73.09  1.295  25
78.33  1.221  2
83.48  1.158  14

Atomic structure:
```
ScCoO3
1.0
3.662 0.000 0.000
0.000 3.662 0.000
0.000 0.000 3.662
Sc Co O
1 1 3
direct
0.000 0.000 0.000 Sc
0.500 0.500 0.500 Co
0.000 0.500 0.500 O
0.500 0.000 0.500 O
0.500 0.500 0.000 O
```

***

Calculated X-ray powder pattern of CoSeO3 for Cu Ka, from a crystal structure in the Materials Project, relaxed with PBE+U.
Neutral-atom scattering factors, no anomalous dispersion.

Peak list (10 most intense, 2θ from 10° to 90°, sorted by position)
2theta  d [Å]  intensity
29.70  3.008  31
32.83  2.728  100
35.25  2.546  20
46.75  1.943  20
47.47  1.915  11
54.73  1.677  27
57.01  1.615  14
61.73  1.503  25
68.83  1.364  12
78.92  1.213  9

Atomic structure:
```
CoSeO3
1.0
6.015 0.000 0.000
0.000 7.661 0.000
0.000 0.000 5.092
Co Se O
4 4 12
direct
0.000 0.000 0.000 Co
0.000 0.500 0.000 Co
0.500 0.000 0.500 Co
0.500 0.500 0.500 Co
0.022 0.250 0.483 Se
0.478 0.750 0.983 Se
0.522 0.250 0.017 Se
0.978 0.750 0.517 Se
0.069 0.250 0.823 O
0.185 0.076 0.364 O
0.185 0.424 0.364 O
0.315 0.576 0.864 O
0.315 0.924 0.864 O
0.431 0.750 0.323 O
0.569 0.250 0.677 O
0.685 0.076 0.136 O
0.685 0.424 0.136 O
0.815 0.576 0.636 O
0.815 0.924 0.636 O
0.931 0.750 0.177 O
```

***

Calculated X-ray powder pattern of CoSeO4 for Cu Ka, from a crystal structure in the Materials Project, relaxed with PBE+U.
Neutral-atom scattering factors, no anomalous dispersion.

Peak list (10 most intense, 2θ from 10° to 90°, sorted by position)
2theta  d [Å]  intensity
23.42  3.799  40
24.11  3.691  100
32.63  2.744  42
33.15  2.703  34
34.56  2.596  50
36.01  2.494  16
44.65  2.030  14
49.38  1.846  24
60.39  1.533  21
65.11  1.433  14

Atomic structure:
```
CoSeO4
1.0
9.118 0.000 0.000
0.000 6.873 0.000
0.000 0.000 4.988
Co Se O
4 4 16
direct
0.000 0.000 0.000 Co
0.000 0.500 0.000 Co
0.500 0.000 0.500 Co
0.500 0.500 0.500 Co
0.179 0.250 0.470 Se
0.321 0.750 0.970 Se
0.679 0.250 0.030 Se
0.821 0.750 0.530 Se
0.119 0.250 0.790 O
0.124 0.045 0.323 O
0.124 0.455 0.323 O
0.134 0.750 0.939 O
0.366 0.250 0.439 O
0.376 0.545 0.823 O
0.376 0.955 0.823 O
0.381 0.750 0.290 O
0.619 0.250 0.710 O
0.624 0.045 0.177 O
0.624 0.455 0.177 O
0.634 0.750 0.561 O
0.866 0.250 0.061 O
0.876 0.545 0.677 O
0.876 0.955 0.677 O
0.881 0.750 0.210 O
```

***

Calculated X-ray powder pattern of CoSeO4 for Cu Ka, from a crystal structure in the Materials Project, relaxed with PBE+U.
Neutral-atom scattering factors, no anomalous dispersion.

Peak list (10 most intense, 2θ from 10° to 90°, sorted by position)
2theta  d [Å]  intensity
23.51  3.784  100
25.30  3.521  59
32.47  2.757  40
33.15  2.702  91
36.39  2.469  51
48.09  1.892  20
51.94  1.760  17
58.36  1.581  17
62.61  1.484  31
67.69  1.384  16

Atomic structure:
```
CoSeO4
1.0
2.757 -4.141 0.000
2.757 4.141 0.000
0.000 0.000 6.686
Co Se O
2 2 8
direct
0.000 0.000 0.000 Co
0.000 0.000 0.500 Co
0.349 0.651 0.750 Se
0.651 0.349 0.250 Se
0.220 0.280 0.750 O
0.241 0.759 0.540 O
0.241 0.759 0.960 O
0.280 0.220 0.250 O
0.720 0.780 0.750 O
0.759 0.241 0.040 O
0.759 0.241 0.460 O
0.780 0.720 0.250 O
```

***

Calculated X-ray powder pattern of Co3Se4O12 for Cu Ka, from a crystal structure in the Materials Project, relaxed with PBE+U.
Neutral-atom scattering factors, no anomalous dispersion.

Peak list (10 most intense, 2θ from 10° to 90°, sorted by position)
2theta  d [Å]  intensity
16.13  5.496  28
23.51  3.784  74
25.18  3.537  42
26.67  3.342  100
28.47  3.135  25
31.99  2.797  32
33.19  2.699  55
33.64  2.664  44
35.12  2.555  34
36.55  2.459  44

Atomic structure:
```
Co3Se4O12
1.0
8.026 0.000 0.000
0.000 9.192 0.000
-3.435 0.000 6.857
Co Se O
6 8 24
direct
0.000 0.000 0.000 Co
0.000 0.500 0.500 Co
0.281 0.012 0.819 Co
0.281 0.488 0.319 Co
0.719 0.512 0.681 Co
0.719 0.988 0.181 Co
0.167 0.683 0.882 Se
0.167 0.817 0.382 Se
0.401 0.168 0.262 Se
0.401 0.332 0.762 Se
0.599 0.668 0.238 Se
0.599 0.832 0.738 Se
0.833 0.183 0.618 Se
0.833 0.317 0.118 Se
0.047 0.127 0.816 O
0.047 0.373 0.316 O
0.150 0.615 0.078 O
0.150 0.885 0.578 O
0.160 0.629 0.438 O
0.160 0.871 0.938 O
0.206 0.070 0.224 O
0.206 0.430 0.724 O
0.336 0.161 0.668 O
0.336 0.339 0.168 O
0.464 0.101 0.084 O
0.464 0.399 0.584 O
0.536 0.601 0.416 O
0.536 0.899 0.916 O
0.664 0.661 0.832 O
0.664 0.839 0.332 O
0.794 0.570 0.276 O
0.794 0.930 0.776 O
0.840 0.129 0.062 O
0.840 0.371 0.562 O
0.850 0.115 0.422 O
0.850 0.385 0.922 O
0.953 0.627 0.684 O
0.953 0.873 0.184 O
```

***

Calculated X-ray powder pattern of Sr2CoSe3O9 for Cu Ka, from a crystal structure in the Materials Project, relaxed with PBE+U.
Neutral-atom scattering factors, no anomalous dispersion.

Peak list (10 most intense, 2θ from 10° to 90°, sorted by position)
2theta  d [Å]  intensity
26.31  3.387  100
27.04  3.298  23
27.66  3.225  37
28.37  3.146  41
28.90  3.090  64
29.78  3.000  62
29.82  2.996  48
30.29  2.951  26
31.00  2.885  35
31.57  2.834  39

Atomic structure:
```
Sr2CoSe3O9
1.0
7.460 0.000 0.000
-0.754 7.727 0.000
-2.368 -2.274 8.242
Sr Co Se O
4 2 6 18
direct
0.128 0.484 0.307 Sr
0.253 0.909 0.111 Sr
0.747 0.091 0.889 Sr
0.872 0.516 0.693 Sr
0.404 0.661 0.745 Co
0.596 0.339 0.255 Co
0.137 0.916 0.707 Se
0.266 0.366 0.915 Se
0.404 0.210 0.541 Se
0.596 0.790 0.459 Se
0.734 0.634 0.085 Se
0.863 0.084 0.293 Se
0.012 0.124 0.182 O
0.025 0.300 0.854 O
0.136 0.697 0.599 O
0.274 0.593 0.912 O
0.326 0.369 0.118 O
0.334 0.419 0.568 O
0.354 0.949 0.853 O
0.372 0.752 0.330 O
0.438 0.182 0.352 O
0.562 0.818 0.648 O
0.628 0.248 0.670 O
0.646 0.051 0.147 O
0.666 0.581 0.432 O
0.674 0.631 0.882 O
0.726 0.407 0.088 O
0.864 0.303 0.401 O
0.975 0.700 0.146 O
0.988 0.876 0.818 O
```